[1]
Starting from a DFT-relaxed cell (GGA-PBE, OQMD), the XRD peak list of Er4TlFe2Ge4 was simulated for Cu Ka.
Kinematic intensities with the Lorentz-polarization factor, no thermal factor.

Principal peaks in the range 10° ≤ 2θ ≤ 80°, in order of rising 2θ:
two_theta	I (rel.)
28.0	27.0
32.6	17.6
33.4	75.6
34.9	100.0
36.3	34.7
37.3	26.4
40.6	26.0
43.1	35.5
56.7	20.7
58.1	20.6

Structural model:
Cell lengths 8.006, 8.006, 6.994 Å; angles 106.78, 106.78, 30.37 degrees
Atoms (fractional coordinates):
1 Er 0.092 0.092 0.390
2 Er 0.153 0.153 0.940
3 Er 0.847 0.847 0.060
4 Er 0.908 0.908 0.610
5 Tl 0.500 0.500 0.000
6 Fe 0.280 0.280 0.373
7 Fe 0.720 0.720 0.627
8 Ge 0.291 0.291 0.726
9 Ge 0.430 0.430 0.344
10 Ge 0.570 0.570 0.656
11 Ge 0.709 0.709 0.274

***

[2]
Starting from a DFT-relaxed cell (GGA-PBE, OQMD), the XRD peak list of ErLuScFeSi3 was simulated for Cu Ka.
Kinematic intensities with the Lorentz-polarization factor, no thermal factor.

Principal peaks in the range 10° ≤ 2θ ≤ 80°, in order of rising 2θ:
two_theta	I (rel.)
23.8	93.4
28.2	42.4
33.9	27.1
34.5	50.3
34.6	42.3
34.9	63.9
35.1	100.0
39.3	55.9
43.0	33.2
44.6	43.9

Structural model:
Cell lengths 5.497, 5.497, 13.178 Å; angles 110.24, 110.24, 43.41 degrees
Atoms (fractional coordinates):
1 Er 0.018 0.018 0.376
2 Er 0.982 0.982 0.624
3 Lu 0.103 0.103 0.920
4 Lu 0.897 0.897 0.080
5 Sc 0.241 0.241 0.229
6 Sc 0.759 0.759 0.771
7 Fe 0.255 0.255 0.585
8 Fe 0.745 0.745 0.415
9 Si 0.355 0.355 0.454
10 Si 0.383 0.383 0.923
11 Si 0.446 0.446 0.759
12 Si 0.554 0.554 0.241
13 Si 0.617 0.617 0.077
14 Si 0.645 0.645 0.546

***

[3]
Starting from a DFT-relaxed cell (GGA-PBE, OQMD), the XRD peak list of LaYGa4Ir2 was simulated for Cu Ka.
Kinematic intensities with the Lorentz-polarization factor, no thermal factor.

Principal peaks in the range 10° ≤ 2θ ≤ 80°, in order of rising 2θ:
two_theta	I (rel.)
17.3	48.7
24.7	40.7
33.8	100.0
35.8	61.9
36.0	62.7
37.2	70.0
42.1	26.0
42.3	24.7
42.5	55.5
44.2	53.9

Structural model:
Cell lengths 4.252, 7.207, 5.541 Å; angles 90.00, 112.11, 90.00 degrees
Atoms (fractional coordinates):
1 La 0.000 0.000 0.000
2 Y 0.857 0.500 0.713
3 Ga 0.285 0.202 0.563
4 Ga 0.285 0.798 0.563
5 Ga 0.576 0.310 0.153
6 Ga 0.576 0.690 0.153
7 Ir 0.139 0.500 0.281
8 Ir 0.725 0.000 0.441

***

[4]
Starting from a DFT-relaxed cell (GGA-PBE, OQMD), the XRD peak list of Dy2Ho2CI3Br2 was simulated for Cu Ka.
Kinematic intensities with the Lorentz-polarization factor, no thermal factor.

Principal peaks in the range 10° ≤ 2θ ≤ 80°, in order of rising 2θ:
two_theta	I (rel.)
10.6	32.7
28.1	19.5
30.1	41.8
30.6	31.3
31.0	100.0
34.1	42.2
35.9	16.4
43.5	23.4
44.0	25.9
46.4	19.5

Structural model:
Cell lengths 9.325, 9.325, 8.544 Å; angles 102.38, 102.38, 24.22 degrees
Atoms (fractional coordinates):
1 Dy 0.002 0.002 0.310
2 Dy 0.998 0.998 0.690
3 Ho 0.366 0.366 0.437
4 Ho 0.634 0.634 0.563
5 C 0.500 0.500 0.500
6 I 0.169 0.169 0.839
7 I 0.500 0.500 0.000
8 I 0.831 0.831 0.161
9 Br 0.168 0.168 0.341
10 Br 0.832 0.832 0.659

***

[5]
Starting from a DFT-relaxed cell (GGA-PBE, OQMD), the XRD peak list of Nd2SbBrCl was simulated for Cu Ka.
Kinematic intensities with the Lorentz-polarization factor, no thermal factor.

Principal peaks in the range 10° ≤ 2θ ≤ 80°, in order of rising 2θ:
two_theta	I (rel.)
25.1	24.9
29.0	100.0
34.7	19.7
41.5	75.1
42.4	10.7
51.5	19.8
60.2	12.6
68.1	16.0
68.2	16.8
75.8	18.9

Structural model:
Cell lengths 4.347, 4.347, 10.676 Å; angles 90.00, 90.00, 120.00 degrees
Atoms (fractional coordinates):
1 Nd 0.000 0.000 0.000
2 Nd 0.333 0.667 0.658
3 Sb 0.667 0.333 0.829
4 Br 0.333 0.667 0.166
5 Cl 0.000 0.000 0.513

***

[6]
Starting from a DFT-relaxed cell (GGA-PBE, OQMD), the XRD peak list of Ag6PClO5 was simulated for Cu Ka.
Kinematic intensities with the Lorentz-polarization factor, no thermal factor.

Principal peaks in the range 10° ≤ 2θ ≤ 80°, in order of rising 2θ:
two_theta	I (rel.)
18.7	12.0
26.6	7.8
32.7	100.0
37.9	46.6
42.6	9.6
46.9	5.0
54.7	36.7
58.4	3.9
65.3	35.2
68.5	10.4

Structural model:
Cell lengths 6.707, 6.707, 6.707 Å; angles 60.00, 60.00, 60.00 degrees
Atoms (fractional coordinates):
1 Ag 0.242 0.242 0.758
2 Ag 0.242 0.758 0.242
3 Ag 0.242 0.758 0.758
4 Ag 0.758 0.242 0.242
5 Ag 0.758 0.242 0.758
6 Ag 0.758 0.758 0.242
7 P 0.750 0.750 0.750
8 Cl 0.250 0.250 0.250
9 O 0.000 0.000 0.000
10 O 0.034 0.655 0.655
11 O 0.655 0.034 0.655
12 O 0.655 0.655 0.034
13 O 0.655 0.655 0.655

***

[7]
Starting from a DFT-relaxed cell (GGA-PBE, OQMD), the XRD peak list of Tb2GdCo2B2N3 was simulated for Cu Ka.
Kinematic intensities with the Lorentz-polarization factor, no thermal factor.

Principal peaks in the range 10° ≤ 2θ ≤ 80°, in order of rising 2θ:
two_theta	I (rel.)
28.8	100.0
34.1	75.8
36.0	49.1
36.3	40.3
37.5	36.6
40.7	31.4
52.3	35.9
60.9	26.5
63.9	25.6
65.2	33.2

Structural model:
Cell lengths 10.277, 10.277, 10.277 Å; angles 160.41, 160.41, 27.84 degrees
Atoms (fractional coordinates):
1 Tb 0.125 0.125 0.000
2 Tb 0.875 0.875 0.000
3 Gd 0.500 0.500 0.000
4 Co 0.250 0.750 0.500
5 Co 0.750 0.250 0.500
6 B 0.305 0.305 0.000
7 B 0.695 0.695 0.000
8 N 0.000 0.000 0.000
9 N 0.381 0.381 0.000
10 N 0.619 0.619 0.000

***

[8]
Starting from a DFT-relaxed cell (GGA-PBE, OQMD), the XRD peak list of TaNi2Te2Se was simulated for Cu Ka.
Kinematic intensities with the Lorentz-polarization factor, no thermal factor.

Principal peaks in the range 10° ≤ 2θ ≤ 80°, in order of rising 2θ:
two_theta	I (rel.)
12.5	100.0
27.4	17.0
29.0	22.8
30.4	27.6
34.7	16.8
35.8	22.5
42.0	18.4
43.1	24.0
43.4	20.7
49.5	16.0

Structural model:
Cell lengths 7.701, 3.680, 10.360 Å; angles 90.00, 109.58, 90.00 degrees
Atoms (fractional coordinates):
1 Ta 0.213 0.250 0.201
2 Ta 0.787 0.750 0.799
3 Ni 0.040 0.250 0.934
4 Ni 0.404 0.750 0.408
5 Ni 0.596 0.250 0.592
6 Ni 0.960 0.750 0.066
7 Te 0.281 0.750 0.003
8 Te 0.416 0.750 0.660
9 Te 0.584 0.250 0.340
10 Te 0.719 0.250 0.997
11 Se 0.075 0.750 0.316
12 Se 0.925 0.250 0.684

***

[9]
Starting from a DFT-relaxed cell (GGA-PBE, OQMD), the XRD peak list of NdCu3P2 was simulated for Cu Ka.
Kinematic intensities with the Lorentz-polarization factor, no thermal factor.

Principal peaks in the range 10° ≤ 2θ ≤ 80°, in order of rising 2θ:
two_theta	I (rel.)
25.6	20.5
28.9	37.8
37.3	100.0
40.5	8.4
45.1	59.3
59.9	23.9
61.6	16.0
62.2	13.8
78.1	21.5
79.5	7.4

Structural model:
Cell lengths 4.020, 4.020, 6.681 Å; angles 90.00, 90.00, 120.00 degrees
Atoms (fractional coordinates):
1 Nd 0.000 0.000 0.000
2 Cu 0.000 0.000 0.500
3 Cu 0.333 0.667 0.655
4 Cu 0.667 0.333 0.345
5 P 0.333 0.667 0.267
6 P 0.667 0.333 0.733

***

[10]
Starting from a DFT-relaxed cell (GGA-PBE, OQMD), the XRD peak list of Dy2ErLu4Ni2Te2 was simulated for Cu Ka.
Kinematic intensities with the Lorentz-polarization factor, no thermal factor.

Principal peaks in the range 10° ≤ 2θ ≤ 80°, in order of rising 2θ:
two_theta	I (rel.)
29.2	21.1
30.6	75.2
33.4	83.2
34.5	100.0
34.9	57.2
35.1	25.1
37.0	23.1
47.6	30.1
51.8	26.7
59.4	37.6

Structural model:
Cell lengths 9.212, 9.212, 9.212 Å; angles 156.06, 67.12, 118.34 degrees
Atoms (fractional coordinates):
1 Dy 0.147 0.000 0.147
2 Dy 0.853 0.000 0.853
3 Er 0.770 0.270 0.500
4 Lu 0.218 0.853 0.365
5 Lu 0.462 0.647 0.815
6 Lu 0.488 0.853 0.635
7 Lu 0.832 0.647 0.185
8 Ni 0.076 0.339 0.737
9 Ni 0.601 0.339 0.263
10 Te 0.111 0.611 0.500
11 Te 0.503 0.503 0.000